1.
Diffraction record for NaInSn6. The X-ray diffraction stick pattern is calculated, not measured: it uses DFT lattice parameters and positions (GGA-PBE) and Cu Kα (λ = 1.5418 Å).
Intensities are scaled so that the largest is 100.

Structure:
```
data_NaInSn6
_cell_length_a 6.9598
_cell_length_b 6.9598
_cell_length_c 5.2783
_cell_angle_alpha 90.00
_cell_angle_beta 90.00
_cell_angle_gamma 120.00
_space_group_name_H-M_alt 'P -6 m 2'
_space_group_IT_number 187
_space_group_name_Hall 'P -6 2'
loop_
_atom_site_label
_atom_site_type_symbol
_atom_site_fract_x
_atom_site_fract_y
_atom_site_fract_z
Na1 Na 0.0000 0.0000 0.0000
In1 In 0.6667 0.3333 0.5000
Sn1 Sn 0.1799 0.3598 0.5000
Sn2 Sn 0.5089 0.0178 0.0000
```

Most intense lines, 2θ from 15° to 90°, by angle:
| 2θ (°) | intensity | index |
| --- | --- | --- |
| 29.64 | 25 | 2 0 0 |
| 33.97 | 23 | 0 0 2 |
| 34.26 | 100 | 2 0 1 |
| 43.26 | 7 | 2 1 1 |
| 45.70 | 15 | 2 0 2 |
| 52.60 | 19 | 2 2 0 |
| 60.98 | 19 | 2 0 3 |
| 64.11 | 21 | 2 2 2 |
| 64.29 | 15 | 4 0 1 |
| 72.19 | 4 | 4 0 2 |
| 84.69 | 7 | 4 0 3 |
| 87.64 | 12 | 4 2 1 |

2.
Diffraction record for Ti2V5W5. The X-ray diffraction stick pattern is calculated, not measured: it uses DFT lattice parameters and positions (GGA-PBE) and Cu Kα (λ = 1.5418 Å).
Intensities are scaled so that the largest is 100.

Structure:
```
data_Ti2V5W5
_cell_length_a 7.6049
_cell_length_b 4.3939
_cell_length_c 10.8101
_cell_angle_alpha 90.00
_cell_angle_beta 90.14
_cell_angle_gamma 90.00
_space_group_name_H-M_alt 'C 1 m 1'
_space_group_IT_number 8
_space_group_name_Hall 'C -2y'
loop_
_atom_site_label
_atom_site_type_symbol
_atom_site_fract_x
_atom_site_fract_y
_atom_site_fract_z
Ti1 Ti 0.0000 0.0000 0.0000
Ti2 Ti 0.0001 0.0000 0.4974
V1 V 0.0000 0.0000 0.2483
V2 V 0.9998 0.0000 0.7451
V3 V 0.1665 0.5000 0.4097
V4 V 0.1667 0.5000 0.6608
V5 V 0.3335 0.0000 0.0864
W1 W 0.1666 0.5000 0.1641
W2 W 0.1665 0.5000 0.9119
W3 W 0.3335 0.0000 0.3322
W4 W 0.3331 0.0000 0.8307
W5 W 0.3335 0.0000 0.5822
```

Most intense lines, 2θ from 15° to 90°, by angle:
| 2θ (°) | intensity | index |
| --- | --- | --- |
| 23.39 | 25 | 1 1 0 |
| 24.78 | 19 | 1 1 -1 |
| 24.83 | 13 | 2 0 1 |
| 34.28 | 6 | 2 0 -3 |
| 40.94 | 55 | 1 1 -4 |
| 41.08 | 100 | 3 1 0 |
| 59.42 | 26 | 2 2 4 |
| 74.52 | 13 | 1 1 8 |
| 74.75 | 18 | 4 2 -4 |
| 74.90 | 21 | 6 0 0 |
| 88.75 | 6 | 2 2 -8 |
| 89.19 | 8 | 6 2 0 |

3.
Diffraction record for Ca2Pu3Ir2. The X-ray diffraction stick pattern is calculated, not measured: it uses DFT lattice parameters and positions (GGA-PBE) and Cu Kα (λ = 1.5418 Å).
Intensities are scaled so that the largest is 100.

Structure:
```
data_Ca2Pu3Ir2
_cell_length_a 11.5691
_cell_length_b 4.0963
_cell_length_c 8.4227
_cell_angle_alpha 90.00
_cell_angle_beta 114.58
_cell_angle_gamma 90.00
_space_group_name_H-M_alt 'C 1 2/m 1'
_space_group_IT_number 12
_space_group_name_Hall '-C 2y'
loop_
_atom_site_label
_atom_site_type_symbol
_atom_site_fract_x
_atom_site_fract_y
_atom_site_fract_z
Ca1 Ca 0.1586 0.0000 0.3093
Pu1 Pu 0.0000 0.5000 0.5000
Pu2 Pu 0.1230 0.5000 0.9418
Ir1 Ir 0.1508 0.0000 0.7292
```

Most intense lines, 2θ from 15° to 90°, by angle:
| 2θ (°) | intensity | index |
| --- | --- | --- |
| 15.99 | 100 | 2 0 -1 |
| 23.29 | 21 | 1 1 0 |
| 30.47 | 25 | 1 1 -2 |
| 31.90 | 46 | 3 1 -1 |
| 34.40 | 34 | 3 1 -2 |
| 35.63 | 68 | 1 1 2 |
| 37.52 | 21 | 4 0 -3 |
| 39.39 | 30 | 1 1 -3 |
| 44.22 | 26 | 0 2 0 |
| 45.42 | 22 | 5 1 -1 |
| 59.34 | 19 | 4 2 -3 |
| 60.42 | 22 | 7 1 -2 |

4.
Diffraction record for LaDy6Er6. The X-ray diffraction stick pattern is calculated, not measured: it uses DFT lattice parameters and positions (GGA-PBE) and Cu Kα (λ = 1.5418 Å).
Intensities are scaled so that the largest is 100.

Structure:
```
data_LaDy6Er6
_cell_length_a 6.5721
_cell_length_b 11.0087
_cell_length_c 6.5961
_cell_angle_alpha 90.00
_cell_angle_beta 115.66
_cell_angle_gamma 90.00
_space_group_name_H-M_alt 'P 1 2/m 1'
_space_group_IT_number 10
_space_group_name_Hall '-P 2y'
loop_
_atom_site_label
_atom_site_type_symbol
_atom_site_fract_x
_atom_site_fract_y
_atom_site_fract_z
La1 La 0.0000 0.0000 0.0000
Dy1 Dy 0.0000 0.3391 0.0000
Dy2 Dy 0.2685 0.5000 0.7389
Dy3 Dy 0.3374 0.0000 0.6229
Er1 Er 0.0000 0.2331 0.5000
Er2 Er 0.5000 0.2220 0.0000
Er3 Er 0.5000 0.3015 0.5000
```

Most intense lines, 2θ from 15° to 90°, by angle:
| 2θ (°) | intensity | index |
| --- | --- | --- |
| 29.14 | 72 | 1 3 -1 |
| 30.06 | 28 | 0 0 2 |
| 30.21 | 63 | 1 2 1 |
| 31.74 | 30 | 2 2 -1 |
| 32.12 | 38 | 2 0 -2 |
| 32.53 | 26 | 0 4 0 |
| 34.34 | 100 | 2 2 0 |
| 35.41 | 27 | 1 3 1 |
| 36.13 | 21 | 2 2 -2 |
| 36.41 | 21 | 1 4 -1 |
| 39.03 | 21 | 0 3 2 |
| 56.62 | 20 | 1 6 1 |

5.
Diffraction record for Tb3Zn3Cd. The X-ray diffraction stick pattern is calculated, not measured: it uses DFT lattice parameters and positions (GGA-PBE) and Cu Kα (λ = 1.5418 Å).
Intensities are scaled so that the largest is 100.

Structure:
```
data_Tb3Zn3Cd
_cell_length_a 3.5904
_cell_length_b 4.5543
_cell_length_c 19.9157
_cell_angle_alpha 90.00
_cell_angle_beta 90.00
_cell_angle_gamma 90.00
_space_group_name_H-M_alt 'I m m 2'
_space_group_IT_number 44
_space_group_name_Hall 'I 2 -2'
loop_
_atom_site_label
_atom_site_type_symbol
_atom_site_fract_x
_atom_site_fract_y
_atom_site_fract_z
Tb1 Tb 0.0000 0.0000 0.0000
Tb2 Tb 0.0000 0.0000 0.3928
Tb3 Tb 0.0000 0.5000 0.1844
Zn1 Zn 0.0000 0.0000 0.5527
Zn2 Zn 0.0000 0.0000 0.8385
Zn3 Zn 0.0000 0.5000 0.6235
Cd1 Cd 0.0000 0.5000 0.7596
```

Most intense lines, 2θ from 15° to 90°, by angle:
| 2θ (°) | intensity | index |
| --- | --- | --- |
| 23.69 | 22 | 0 1 3 |
| 33.02 | 100 | 1 1 2 |
| 33.60 | 54 | 1 0 5 |
| 37.26 | 56 | 0 1 7 |
| 39.58 | 31 | 0 2 0 |
| 42.05 | 9 | 1 1 6 |
| 50.86 | 15 | 2 0 0 |
| 52.87 | 30 | 1 2 5 |
| 64.15 | 9 | 0 1 13 |
| 64.72 | 21 | 2 1 7 |
| 66.31 | 17 | 2 2 0 |
| 67.66 | 12 | 1 3 2 |

6.
Diffraction record for CaNpNi4. The X-ray diffraction stick pattern is calculated, not measured: it uses DFT lattice parameters and positions (GGA-PBE) and Cu Kα (λ = 1.5418 Å).
Intensities are scaled so that the largest is 100.

Structure:
```
data_CaNpNi4
_cell_length_a 5.0004
_cell_length_b 5.0004
_cell_length_c 8.3993
_cell_angle_alpha 90.00
_cell_angle_beta 90.00
_cell_angle_gamma 120.00
_space_group_name_H-M_alt 'P -3 m 1'
_space_group_IT_number 164
_space_group_name_Hall '-P 3 2"'
loop_
_atom_site_label
_atom_site_type_symbol
_atom_site_fract_x
_atom_site_fract_y
_atom_site_fract_z
Ca1 Ca 0.3333 0.6667 0.4357
Np1 Np 0.3333 0.6667 0.0491
Ni1 Ni 0.0000 0.0000 0.0000
Ni2 Ni 0.0000 0.0000 0.5000
Ni3 Ni 0.1643 0.3286 0.7560
```

Most intense lines, 2θ from 15° to 90°, by angle:
| 2θ (°) | intensity | index |
| --- | --- | --- |
| 23.11 | 32 | 1 0 1 |
| 29.63 | 28 | 1 0 2 |
| 35.92 | 48 | 1 1 0 |
| 37.53 | 37 | 1 1 1 |
| 38.28 | 71 | 1 0 3 |
| 42.06 | 100 | 1 1 2 |
| 43.13 | 67 | 0 2 1 |
| 48.16 | 17 | 0 1 4 |
| 66.13 | 29 | 2 1 3 |
| 68.77 | 23 | 3 0 2 |
| 71.02 | 27 | 0 2 5 |
| 76.15 | 19 | 2 2 0 |

7.
Diffraction record for TmAlZn6Cu. The X-ray diffraction stick pattern is calculated, not measured: it uses DFT lattice parameters and positions (GGA-PBE) and Cu Kα (λ = 1.5418 Å).
Intensities are scaled so that the largest is 100.

Structure:
```
data_TmAlZn6Cu
_cell_length_a 6.7441
_cell_length_b 8.8547
_cell_length_c 10.7766
_cell_angle_alpha 90.00
_cell_angle_beta 90.00
_cell_angle_gamma 90.00
_space_group_name_H-M_alt 'I m m a'
_space_group_IT_number 74
_space_group_name_Hall '-I 2b 2'
loop_
_atom_site_label
_atom_site_type_symbol
_atom_site_fract_x
_atom_site_fract_y
_atom_site_fract_z
Tm1 Tm 0.0000 0.2500 0.2015
Al1 Al 0.2500 0.2500 0.7500
Zn1 Zn 0.0000 0.2500 0.5115
Zn2 Zn 0.0000 0.2500 0.9262
Zn3 Zn 0.1917 0.0135 0.3735
Cu1 Cu 0.0000 0.0000 0.0000
```

Most intense lines, 2θ from 15° to 90°, by angle:
| 2θ (°) | intensity | index |
| --- | --- | --- |
| 29.53 | 26 | 2 1 1 |
| 33.40 | 91 | 2 2 0 |
| 34.80 | 100 | 1 2 3 |
| 37.35 | 31 | 1 1 4 |
| 37.98 | 37 | 2 1 3 |
| 39.14 | 39 | 0 2 4 |
| 40.76 | 66 | 0 4 0 |
| 41.01 | 24 | 3 0 1 |
| 42.97 | 32 | 2 0 4 |
| 47.69 | 33 | 3 0 3 |
| 60.72 | 21 | 2 4 4 |
| 78.31 | 22 | 3 2 7 |

8.
Diffraction record for Sr2NdZn3Pt4. The X-ray diffraction stick pattern is calculated, not measured: it uses DFT lattice parameters and positions (GGA-PBE) and Cu Kα (λ = 1.5418 Å).
Intensities are scaled so that the largest is 100.

Structure:
```
data_Sr2NdZn3Pt4
_cell_length_a 4.3664
_cell_length_b 4.3664
_cell_length_c 11.5725
_cell_angle_alpha 90.00
_cell_angle_beta 90.00
_cell_angle_gamma 90.00
_space_group_name_H-M_alt 'P -4 m 2'
_space_group_IT_number 115
_space_group_name_Hall 'P -4 -2'
loop_
_atom_site_label
_atom_site_type_symbol
_atom_site_fract_x
_atom_site_fract_y
_atom_site_fract_z
Sr1 Sr 0.0000 0.5000 0.2204
Nd1 Nd 0.0000 0.0000 0.5000
Zn1 Zn 0.0000 0.5000 0.8810
Zn2 Zn 0.5000 0.5000 0.5000
Pt1 Pt 0.0000 0.0000 0.0000
Pt2 Pt 0.0000 0.5000 0.6586
Pt3 Pt 0.5000 0.5000 0.0000
```

Most intense lines, 2θ from 15° to 90°, by angle:
| 2θ (°) | intensity | index |
| --- | --- | --- |
| 15.31 | 16 | 0 0 2 |
| 21.75 | 22 | 1 0 1 |
| 25.56 | 18 | 1 0 2 |
| 30.93 | 19 | 0 0 4 |
| 32.88 | 100 | 1 1 2 |
| 37.28 | 16 | 1 0 4 |
| 41.36 | 55 | 2 0 0 |
| 42.84 | 44 | 1 1 4 |
| 44.31 | 21 | 1 0 5 |
| 59.92 | 18 | 2 2 0 |
| 70.06 | 23 | 3 1 2 |
| 76.44 | 16 | 3 1 4 |